# 1
Starting from a GGA-PBE-relaxed structure, the XRD peak list of PmPr2DyTm4 was computed for copper Kα.

Largest 10 diffraction maxima, most intense first, 2θ from 15° to 90°:
2θ/deg  I/Imax
30.66  100
35.62  67
30.89  33
60.92  28
51.11  24
51.41  24
60.79  14
61.19  14
63.85  12
83.34  12

Atomic structure:
Cell lengths 7.1492, 7.1492, 12.2949 Å; angles 106.92, 106.92, 59.99 degrees
Fractional positions:
1 Pm 0.0000 0.0000 0.0000
2 Pm 0.0000 0.0000 0.5000
3 Pr 0.0000 0.5000 0.0000
4 Pr 0.5000 0.0000 0.0000
5 Pr 0.5000 0.5000 0.0000
6 Pr 0.5000 0.5000 0.5000
7 Dy 0.0000 0.5000 0.5000
8 Dy 0.5000 0.0000 0.5000
9 Tm 0.2484 0.7500 0.7478
10 Tm 0.2500 0.2500 0.2522
11 Tm 0.2497 0.2497 0.7478
12 Tm 0.2500 0.7516 0.2522
13 Tm 0.7500 0.2484 0.7478
14 Tm 0.7503 0.7503 0.2522
15 Tm 0.7500 0.7500 0.7478
16 Tm 0.7516 0.2500 0.2522

---

# 2
Starting from a GGA-PBE-relaxed structure, the XRD peak list of Cs3Tl2I7 was computed for copper Kα.

Largest 10 diffraction maxima, most intense first, 2θ from 15° to 90°:
2θ/deg  I/Imax
24.68  100
27.99  72
28.95  66
40.70  56
28.77  54
50.61  44
40.57  42
41.27  40
20.23  26
65.92  23

Atomic structure:
Cell lengths 15.8399, 15.8399, 6.1677 Å; angles 90.00, 90.00, 156.78 degrees
Fractional positions:
1 Cs 0.0000 0.0000 0.0000
2 Cs 0.1817 0.8183 0.0000
3 Cs 0.8183 0.1817 0.0000
4 Tl 0.3959 0.6041 0.5000
5 Tl 0.6041 0.3959 0.5000
6 I 0.0987 0.9013 0.5000
7 I 0.2951 0.7049 0.5000
8 I 0.4001 0.5999 0.0000
9 I 0.5000 0.5000 0.5000
10 I 0.5999 0.4001 0.0000
11 I 0.7049 0.2951 0.5000
12 I 0.9013 0.0987 0.5000

---

# 3
Starting from a GGA-PBE-relaxed structure, the XRD peak list of Mg2Cd3Pb2 was computed for copper Kα.

Largest 10 diffraction maxima, most intense first, 2θ from 15° to 90°:
2θ/deg  I/Imax
33.96  100
33.47  84
38.70  84
24.36  53
60.45  49
25.42  46
38.42  44
44.54  30
28.69  30
66.43  30

Atomic structure:
Cell lengths 12.6124, 12.6124, 3.5038 Å; angles 90.00, 90.00, 161.44 degrees
Fractional positions:
1 Mg 0.1250 0.8750 0.0000
2 Mg 0.8750 0.1250 0.0000
3 Cd 0.0000 0.0000 0.0000
4 Cd 0.4372 0.5628 0.5000
5 Cd 0.5628 0.4372 0.5000
6 Pb 0.3051 0.6949 0.5000
7 Pb 0.6949 0.3051 0.5000